[1]
Calculated PXRD pattern of Y16Mg3AlNi4 for Cu Kα (λ = 1.5418 Å), from a crystal structure in the Materials Project, relaxed with PBE.
No peak broadening, texture or thermal motion is included.

Peak list (12 most intense, 2θ = 10–80°, in order of rising 2θ)
- 11.2°, intensity 14
- 28.4°, intensity 26
- 32.1°, intensity 53
- 32.3°, intensity 17
- 34.1°, intensity 100
- 34.2°, intensity 26
- 37.1°, intensity 21
- 37.4°, intensity 21
- 57.0°, intensity 24
- 57.2°, intensity 14
- 57.5°, intensity 24
- 58.4°, intensity 13

Structure:
a b c (Å): 9.6163 9.6163 9.6163
angles (deg): 60.51 60.51 60.51
Fractional positions:
Y  0.0042  0.0042  0.3983
Y  0.0042  0.3983  0.0042
Y  0.0064  0.0064  0.0064
Y  0.1634  0.5433  0.5433
Y  0.1671  0.1671  0.5405
Y  0.1671  0.5405  0.1671
Y  0.3983  0.0042  0.0042
Y  0.4182  0.4182  0.7887
Y  0.4182  0.7887  0.4182
Y  0.4227  0.7886  0.7886
Y  0.5405  0.1671  0.1671
Y  0.5433  0.1634  0.5433
Y  0.5433  0.5433  0.1634
Y  0.7887  0.4182  0.4182
Y  0.7886  0.4227  0.7886
Y  0.7886  0.7886  0.4227
Mg  0.0880  0.7734  0.7734
Mg  0.7734  0.0880  0.7734
Mg  0.7734  0.7734  0.0880
Al  0.7718  0.7718  0.7718
Ni  0.2108  0.2108  0.2108
Ni  0.2113  0.2113  0.7796
Ni  0.2113  0.7796  0.2113
Ni  0.7796  0.2113  0.2113

[2]
Calculated PXRD pattern of MoCl6 for Cu Kα (λ = 1.5418 Å), from a crystal structure in the Materials Project, relaxed with PBE.
No peak broadening, texture or thermal motion is included.

Peak list (12 most intense, 2θ = 10–80°, in order of rising 2θ)
- 15.1°, intensity 36
- 15.9°, intensity 100
- 22.0°, intensity 55
- 31.7°, intensity 76
- 35.6°, intensity 12
- 41.7°, intensity 36
- 44.9°, intensity 16
- 45.7°, intensity 21
- 48.9°, intensity 20
- 53.5°, intensity 14
- 55.0°, intensity 16
- 59.7°, intensity 8

Structure:
a b c (Å): 6.4461 6.4461 5.8551
angles (deg): 90.00 90.00 120.00
Fractional positions:
Mo  0.0000  0.0000  0.0000
Cl  0.0000  0.2929  0.2269
Cl  0.0000  0.7071  0.7731
Cl  0.2929  0.0000  0.2269
Cl  0.2929  0.2929  0.7731
Cl  0.7071  0.0000  0.7731
Cl  0.7071  0.7071  0.2269

[3]
Calculated PXRD pattern of Te4Pd9 for Cu Kα (λ = 1.5418 Å), from a crystal structure in the Materials Project, relaxed with PBE.
No peak broadening, texture or thermal motion is included.

Peak list (12 most intense, 2θ = 10–80°, in order of rising 2θ)
- 32.1°, intensity 40
- 34.5°, intensity 50
- 39.0°, intensity 42
- 39.2°, intensity 80
- 39.5°, intensity 100
- 39.7°, intensity 38
- 39.9°, intensity 95
- 40.5°, intensity 88
- 41.5°, intensity 61
- 42.0°, intensity 32
- 44.7°, intensity 34
- 45.2°, intensity 50

Structure:
a b c (Å): 7.5632 14.1890 9.0386
angles (deg): 90.00 91.63 90.00
Fractional positions:
Te  0.0389  0.2482  0.0678
Te  0.0389  0.2518  0.5678
Te  0.2031  0.0050  0.8883
Te  0.2031  0.4950  0.3883
Te  0.2538  0.5040  0.8530
Te  0.2538  0.9960  0.3530
Te  0.4520  0.7374  0.1418
Te  0.4520  0.7626  0.6418
Te  0.5480  0.2374  0.3582
Te  0.5480  0.2626  0.8582
Te  0.7462  0.0040  0.6470
Te  0.7462  0.4960  0.1470
Te  0.7969  0.5050  0.6117
Te  0.7969  0.9950  0.1117
Te  0.9611  0.7482  0.4322
Te  0.9611  0.7518  0.9322
Pd  0.9997  0.1319  0.3081
Pd  0.9997  0.3681  0.8081
Pd  0.0003  0.6319  0.1919
Pd  0.0003  0.8681  0.6919
Pd  0.0852  0.0646  0.6063
Pd  0.0852  0.4354  0.1063
Pd  0.1554  0.6699  0.7017
Pd  0.1554  0.8301  0.2017
Pd  0.2238  0.1941  0.8257
Pd  0.2238  0.3059  0.3257
Pd  0.2934  0.6782  0.3951
Pd  0.2934  0.8218  0.8951
Pd  0.3308  0.1399  0.1388
Pd  0.3308  0.3601  0.6388
Pd  0.3898  0.5480  0.1430
Pd  0.3898  0.9520  0.6430
Pd  0.4608  0.5625  0.6118
Pd  0.4608  0.9375  0.1118
Pd  0.4839  0.1505  0.6082
Pd  0.4839  0.3495  0.1082
Pd  0.5161  0.6505  0.8918
Pd  0.5161  0.8495  0.3918
Pd  0.5392  0.0625  0.8882
Pd  0.5392  0.4375  0.3882
Pd  0.6102  0.0480  0.3570
Pd  0.6102  0.4520  0.8570
Pd  0.6692  0.6399  0.3612
Pd  0.6692  0.8601  0.8612
Pd  0.7066  0.1782  0.1049
Pd  0.7066  0.3218  0.6049
Pd  0.7762  0.6941  0.6743
Pd  0.7762  0.8059  0.1743
Pd  0.8446  0.1699  0.7983
Pd  0.8446  0.3301  0.2983
Pd  0.9148  0.5646  0.8937
Pd  0.9148  0.9354  0.3937

[4]
Calculated PXRD pattern of MgTa2N3 for Cu Kα (λ = 1.5418 Å), from a crystal structure in the Materials Project, relaxed with PBE.
No peak broadening, texture or thermal motion is included.

Peak list (12 most intense, 2θ = 10–80°, in order of rising 2θ)
- 16.9°, intensity 45
- 19.5°, intensity 24
- 25.9°, intensity 28
- 34.2°, intensity 45
- 35.3°, intensity 88
- 38.4°, intensity 100
- 43.1°, intensity 78
- 56.1°, intensity 34
- 61.2°, intensity 36
- 64.0°, intensity 32
- 72.0°, intensity 33
- 72.7°, intensity 23

Structure:
a b c (Å): 5.2486 5.2486 10.4834
angles (deg): 90.00 90.00 120.00
Fractional positions:
Mg  0.3333  0.6667  0.0000
Mg  0.3333  0.6667  0.5000
Mg  0.6667  0.3333  0.0000
Mg  0.6667  0.3333  0.5000
Ta  0.0000  0.0000  0.0000
Ta  0.0000  0.0000  0.5000
Ta  0.0000  0.3358  0.2500
Ta  0.0000  0.6642  0.7500
Ta  0.3358  0.0000  0.2500
Ta  0.3358  0.3358  0.7500
Ta  0.6642  0.0000  0.7500
Ta  0.6642  0.6642  0.2500
N  0.0000  0.3297  0.6202
N  0.0000  0.3297  0.8798
N  0.0000  0.6703  0.1202
N  0.0000  0.6703  0.3798
N  0.3297  0.0000  0.6202
N  0.3297  0.0000  0.8798
N  0.3297  0.3297  0.1202
N  0.3297  0.3297  0.3798
N  0.6703  0.0000  0.1202
N  0.6703  0.0000  0.3798
N  0.6703  0.6703  0.6202
N  0.6703  0.6703  0.8798

[5]
Calculated PXRD pattern of Zr2N2O for Cu Kα (λ = 1.5418 Å), from a crystal structure in the Materials Project, relaxed with PBE.
No peak broadening, texture or thermal motion is included.

Peak list (12 most intense, 2θ = 10–80°, in order of rising 2θ)
- 30.2°, intensity 100
- 31.0°, intensity 52
- 32.9°, intensity 23
- 33.5°, intensity 39
- 34.7°, intensity 49
- 42.8°, intensity 16
- 44.9°, intensity 23
- 50.3°, intensity 27
- 55.4°, intensity 20
- 55.9°, intensity 19
- 57.8°, intensity 17
- 64.8°, intensity 12

Structure:
a b c (Å): 7.1139 7.1139 8.2992
angles (deg): 100.19 100.19 26.98
Fractional positions:
Zr  0.0302  0.0302  0.3074
Zr  0.3040  0.3040  0.3684
Zr  0.3709  0.3709  0.0260
Zr  0.6291  0.6291  0.9740
Zr  0.6960  0.6960  0.6316
Zr  0.9698  0.9698  0.6926
N  0.1266  0.1266  0.7872
N  0.1721  0.1721  0.4660
N  0.4657  0.4657  0.8434
N  0.5343  0.5343  0.1566
N  0.8279  0.8279  0.5340
N  0.8734  0.8734  0.2128
O  0.2092  0.2092  0.1192
O  0.5000  0.5000  0.5000
O  0.7908  0.7908  0.8808

[6]
Calculated PXRD pattern of NdAlAu for Cu Kα (λ = 1.5418 Å), from a crystal structure in the Materials Project, relaxed with PBE.
No peak broadening, texture or thermal motion is included.

Peak list (12 most intense, 2θ = 10–80°, in order of rising 2θ)
- 25.3°, intensity 69
- 25.8°, intensity 37
- 32.4°, intensity 49
- 32.7°, intensity 100
- 33.1°, intensity 30
- 37.5°, intensity 27
- 39.0°, intensity 40
- 40.0°, intensity 46
- 47.3°, intensity 19
- 55.2°, intensity 18
- 63.9°, intensity 26
- 69.8°, intensity 17

Structure:
a b c (Å): 7.5584 4.6220 7.7502
angles (deg): 90.00 90.00 90.00
Fractional positions:
Nd  0.0086  0.2500  0.1931
Nd  0.4914  0.7500  0.6931
Nd  0.5086  0.2500  0.3069
Nd  0.9914  0.7500  0.8069
Al  0.1697  0.2500  0.5809
Al  0.3303  0.7500  0.0809
Al  0.6697  0.2500  0.9191
Al  0.8303  0.7500  0.4191
Au  0.2022  0.7500  0.4078
Au  0.2978  0.2500  0.9078
Au  0.7022  0.7500  0.0922
Au  0.7978  0.2500  0.5922

[7]
Calculated PXRD pattern of Ga3Ir for Cu Kα (λ = 1.5418 Å), from a crystal structure in the Materials Project, relaxed with PBE.
No peak broadening, texture or thermal motion is included.

Peak list (12 most intense, 2θ = 10–80°, in order of rising 2θ)
- 18.8°, intensity 57
- 23.2°, intensity 57
- 26.3°, intensity 8
- 40.7°, intensity 100
- 41.2°, intensity 15
- 43.5°, intensity 25
- 43.7°, intensity 40
- 44.6°, intensity 14
- 54.0°, intensity 14
- 56.9°, intensity 9
- 64.8°, intensity 15
- 71.9°, intensity 17

Structure:
a b c (Å): 6.5543 6.5543 6.7873
angles (deg): 90.00 90.00 90.00
Fractional positions:
Ga  0.0000  0.5000  0.0000
Ga  0.0000  0.5000  0.5000
Ga  0.1486  0.1486  0.2403
Ga  0.1486  0.1486  0.7597
Ga  0.3514  0.6486  0.2597
Ga  0.3514  0.6486  0.7403
Ga  0.5000  0.0000  0.0000
Ga  0.5000  0.0000  0.5000
Ga  0.6486  0.3514  0.2597
Ga  0.6486  0.3514  0.7403
Ga  0.8514  0.8514  0.2403
Ga  0.8514  0.8514  0.7597
Ir  0.1631  0.8369  0.0000
Ir  0.3369  0.3369  0.5000
Ir  0.6631  0.6631  0.5000
Ir  0.8369  0.1631  0.0000

[8]
Calculated PXRD pattern of NaInN2F6 for Cu Kα (λ = 1.5418 Å), from a crystal structure in the Materials Project, relaxed with PBE.
No peak broadening, texture or thermal motion is included.

Peak list (12 most intense, 2θ = 10–80°, in order of rising 2θ)
- 17.7°, intensity 78
- 20.4°, intensity 100
- 29.1°, intensity 60
- 34.2°, intensity 38
- 41.6°, intensity 52
- 45.5°, intensity 14
- 46.8°, intensity 44
- 51.5°, intensity 23
- 54.9°, intensity 15
- 60.3°, intensity 29
- 63.3°, intensity 14
- 64.3°, intensity 20

Structure:
a b c (Å): 6.1431 6.1431 6.1431
angles (deg): 60.00 60.00 60.00
Fractional positions:
Na  0.0000  0.0000  0.0000
In  0.5000  0.5000  0.5000
N  0.2500  0.2500  0.2500
N  0.7500  0.7500  0.7500
F  0.2587  0.2587  0.7413
F  0.2587  0.7413  0.2587
F  0.2587  0.7413  0.7413
F  0.7413  0.2587  0.2587
F  0.7413  0.2587  0.7413
F  0.7413  0.7413  0.2587

[9]
Calculated PXRD pattern of DyCrSb3 for Cu Kα (λ = 1.5418 Å), from a crystal structure in the Materials Project, relaxed with PBE.
No peak broadening, texture or thermal motion is included.

Peak list (12 most intense, 2θ = 10–80°, in order of rising 2θ)
- 29.4°, intensity 25
- 29.6°, intensity 22
- 32.1°, intensity 72
- 32.8°, intensity 47
- 34.9°, intensity 100
- 35.2°, intensity 20
- 35.8°, intensity 25
- 36.5°, intensity 30
- 41.8°, intensity 69
- 56.0°, intensity 26
- 61.5°, intensity 17
- 69.8°, intensity 31

Structure:
a b c (Å): 12.7653 6.2023 6.0358
angles (deg): 90.00 90.00 90.00
Fractional positions:
Dy  0.1909  0.0054  0.2500
Dy  0.1909  0.4946  0.7500
Dy  0.8091  0.5054  0.2500
Dy  0.8091  0.9946  0.7500
Cr  0.4034  0.7500  0.0000
Cr  0.4034  0.7500  0.5000
Cr  0.5966  0.2500  0.0000
Cr  0.5966  0.2500  0.5000
Sb  0.0021  0.7500  0.0000
Sb  0.0021  0.7500  0.5000
Sb  0.2742  0.0031  0.7500
Sb  0.2742  0.4969  0.2500
Sb  0.4362  0.1009  0.2500
Sb  0.4362  0.3991  0.7500
Sb  0.5638  0.6009  0.2500
Sb  0.5638  0.8991  0.7500
Sb  0.7258  0.5031  0.7500
Sb  0.7258  0.9969  0.2500
Sb  0.9979  0.2500  0.0000
Sb  0.9979  0.2500  0.5000

[10]
Calculated PXRD pattern of RbPrTiNbO6F for Cu Kα (λ = 1.5418 Å), from a crystal structure in the Materials Project, relaxed with PBE.
No peak broadening, texture or thermal motion is included.

Peak list (12 most intense, 2θ = 10–80°, in order of rising 2θ)
- 27.8°, intensity 100
- 28.0°, intensity 100
- 31.7°, intensity 17
- 32.6°, intensity 71
- 36.4°, intensity 20
- 39.4°, intensity 13
- 46.1°, intensity 42
- 46.6°, intensity 27
- 47.0°, intensity 23
- 55.2°, intensity 29
- 55.5°, intensity 28
- 68.3°, intensity 15

Structure:
a b c (Å): 3.8631 3.9010 11.2825
angles (deg): 90.00 90.00 90.00
Fractional positions:
Rb  0.0000  0.0000  0.0000
Pr  0.0000  0.0000  0.4951
Ti  0.5000  0.5000  0.2904
Nb  0.5000  0.5000  0.6998
O  0.0000  0.5000  0.3307
O  0.0000  0.5000  0.6588
O  0.5000  0.0000  0.6561
O  0.5000  0.5000  0.1395
O  0.5000  0.5000  0.4923
O  0.5000  0.5000  0.8598
F  0.5000  0.0000  0.3274